This entry pairs a crystal structure of BaZnAg4O8 with its simulated powder XRD pattern. Radiation: CuKα. Structure: a structure optimized by DFT (GGA-PBE).
Peak positions follow from Bragg's law for the DFT cell and can differ from measured ones.

Peak list (10 most intense, 2θ from 10° to 80°, by angle)
2θ = 30.7°, d 2.910, rel. 67, (1 0 2)
2θ = 31.0°, d 2.886, rel. 100, (1 1 0)
2θ = 37.7°, d 2.386, rel. 12, (0 0 3)
2θ = 44.2°, d 2.049, rel. 28, (2 0 2)
2θ = 49.6°, d 1.839, rel. 17, (1 1 3)
2θ = 54.9°, d 1.671, rel. 29, (2 1 2)
2θ = 55.1°, d 1.666, rel. 25, (3 0 0)
2θ = 60.9°, d 1.521, rel. 15, (2 -1 4)
2θ = 64.6°, d 1.443, rel. 12, (2 2 0)
2θ = 73.2°, d 1.293, rel. 10, (4 -1 2)

Cell and atoms:
abc: 5.7729 5.7729 7.1589
angles: 90.00 90.00 120.00
Space group P-31m (No. 162)
Asymmetric unit:
Ba 0.0000 0.0000 0.0000
Zn 0.0000 0.0000 0.5000
Ag 0.3333 0.6667 0.2908
O 0.0000 0.2793 0.3211
O 0.3333 0.6667 0.0000

This entry pairs a crystal structure of CaEr5Al4 with its simulated powder XRD pattern. Radiation: CuKα. Structure: a structure optimized by DFT (GGA-PBE).
Peak positions follow from Bragg's law for the DFT cell and can differ from measured ones.

Peak list (10 most intense, 2θ from 10° to 80°, by angle)
2θ = 25.1°, d 3.546, rel. 100, (1 0 0)
2θ = 26.6°, d 3.346, rel. 39, (0 0 6)
2θ = 33.7°, d 2.658, rel. 89, (1 0 5)
2θ = 35.8°, d 2.508, rel. 86, (1 1 0)
2θ = 36.9°, d 2.434, rel. 79, (1 0 6)
2θ = 45.2°, d 2.007, rel. 33, (1 1 6)
2θ = 51.5°, d 1.773, rel. 31, (2 0 0)
2θ = 56.7°, d 1.623, rel. 34, (1 0 11)
2θ = 63.0°, d 1.475, rel. 56, (1 1 11)
2θ = 65.1°, d 1.433, rel. 31, (2 1 6)

Cell and atoms:
abc: 3.546 3.546 20.081
angles: 90.00 90.00 90.00
Space group P4/mmm (No. 123)
Asymmetric unit:
Ca 0.000 0.000 0.000
Er 0.500 0.500 0.141
Er 0.500 0.500 0.320
Er 0.500 0.500 0.500
Al 0.000 0.000 0.230
Al 0.000 0.000 0.410

This entry pairs a crystal structure of ZnAg2Cl2F2 with its simulated powder XRD pattern. Radiation: CuKα. Structure: a structure optimized by DFT (GGA-PBE).
Peak positions follow from Bragg's law for the DFT cell and can differ from measured ones.

Peak list (10 most intense, 2θ from 10° to 80°, by angle)
2θ = 25.8°, d 3.456, rel. 57, (1 1 0)
2θ = 26.3°, d 3.387, rel. 59, (2 0 -2)
2θ = 27.5°, d 3.238, rel. 32, (1 1 -1)
2θ = 29.7°, d 3.010, rel. 100, (2 0 1)
2θ = 33.3°, d 2.691, rel. 84, (3 1 -1)
2θ = 36.5°, d 2.461, rel. 42, (3 1 0)
2θ = 36.9°, d 2.433, rel. 78, (1 1 -2)
2θ = 37.4°, d 2.405, rel. 53, (3 1 -2)
2θ = 49.4°, d 1.843, rel. 34, (0 2 0)
2θ = 60.0°, d 1.542, rel. 33, (1 1 3)

Cell and atoms:
abc: 11.825 3.687 6.777
angles: 90.00 123.02 90.00
Space group C2/m (No. 12)
Asymmetric unit:
Zn 0.000 0.000 0.000
Ag 0.157 0.000 0.632
Cl 0.074 0.500 0.826
F 0.177 0.000 0.290

This entry pairs a crystal structure of RbV4Br8 with its simulated powder XRD pattern. Radiation: CuKα. Structure: a structure optimized by DFT (GGA-PBE).
Peak positions follow from Bragg's law for the DFT cell and can differ from measured ones.

Peak list (10 most intense, 2θ from 10° to 80°, by angle)
2θ = 10.7°, d 8.295, rel. 100, (0 0 3)
2θ = 27.3°, d 3.268, rel. 21, (2 0 2)
2θ = 30.0°, d 2.975, rel. 98, (0 2 4)
2θ = 32.0°, d 2.800, rel. 15, (2 0 5)
2θ = 36.6°, d 2.452, rel. 41, (0 2 7)
2θ = 39.3°, d 2.291, rel. 17, (2 0 8)
2θ = 46.4°, d 1.956, rel. 37, (2 2 0)
2θ = 48.4°, d 1.881, rel. 22, (2 0 11)
2θ = 56.3°, d 1.634, rel. 16, (4 0 4)
2θ = 57.7°, d 1.597, rel. 13, (2 2 9)

Cell and atoms:
abc: 7.8222 7.8222 24.8855
angles: 90.00 90.00 120.00
Space group R-3m (No. 166, hexagonal axes)
Asymmetric unit:
Rb 0.0000 0.0000 0.0000
V 0.0000 0.0000 0.5000
V 0.0000 0.5000 0.5000
Br 0.0000 0.0000 0.2243
Br 0.0005 0.5003 0.2253

This entry pairs a crystal structure of KCd3In with its simulated powder XRD pattern. Radiation: CuKα. Structure: a structure optimized by DFT (GGA-PBE).
Peak positions follow from Bragg's law for the DFT cell and can differ from measured ones.

Peak list (10 most intense, 2θ from 10° to 80°, by angle)
2θ = 14.6°, d 6.048, rel. 46, (0 0 2)
2θ = 19.2°, d 4.623, rel. 55, (1 0 1)
2θ = 28.4°, d 3.139, rel. 46, (1 0 3)
2θ = 29.2°, d 3.054, rel. 100, (1 1 2)
2θ = 35.9°, d 2.502, rel. 88, (2 0 0)
2θ = 39.2°, d 2.299, rel. 96, (1 1 4)
2θ = 41.5°, d 2.178, rel. 24, (1 0 5)
2θ = 51.7°, d 1.769, rel. 30, (2 2 0)
2θ = 60.5°, d 1.531, rel. 23, (3 1 2)
2θ = 66.7°, d 1.402, rel. 38, (3 1 4)

Cell and atoms:
abc: 5.003 5.003 12.096
angles: 90.00 90.00 90.00
Space group I4mm (No. 107)
Asymmetric unit:
K 0.000 0.000 0.000
Cd 0.000 0.000 0.383
Cd 0.000 0.500 0.250
In 0.000 0.000 0.622